Entry 1:
Diffraction record for Na8ZrS6. The XRD peak list is theoretical, not measured: it uses a PBE-relaxed structure and Cu Kα X-rays.
Kinematic intensities with the Lorentz-polarization factor, no thermal factor.

Cell and atoms:
abc: 7.871 8.337 11.708
angles: 90.00 90.00 90.00
Fractional positions:
Na 0.000 0.139 0.000
Na 0.000 0.234 0.441
Na 0.205 0.575 0.792
Na 0.211 0.710 0.111
Na 0.221 0.944 0.771
Na 0.279 0.056 0.271
Na 0.289 0.290 0.611
Na 0.295 0.425 0.292
Na 0.500 0.766 0.941
Na 0.500 0.861 0.500
Na 0.705 0.425 0.292
Na 0.711 0.290 0.611
Na 0.721 0.056 0.271
Na 0.779 0.944 0.771
Na 0.789 0.710 0.111
Na 0.795 0.575 0.792
Zr 0.000 0.741 0.469
Zr 0.500 0.259 0.969
S 0.000 0.255 0.221
S 0.000 0.497 0.588
S 0.000 0.784 0.931
S 0.000 0.985 0.585
S 0.245 0.744 0.346
S 0.255 0.256 0.846
S 0.500 0.015 0.085
S 0.500 0.216 0.431
S 0.500 0.503 0.088
S 0.500 0.745 0.721
S 0.745 0.256 0.846
S 0.755 0.744 0.346

Peak list (10 most intense, 2θ = 5–70°, in order of rising 2θ)
| d [Å] | I (rel.) |
| --- | --- |
| 6.532 | 83 |
| 5.723 | 35 |
| 4.168 | 40 |
| 4.092 | 68 |
| 3.514 | 43 |
| 3.400 | 89 |
| 3.266 | 100 |
| 2.393 | 50 |
| 2.229 | 35 |
| 2.046 | 87 |

=====

Entry 2:
Diffraction record for Ac2Zn3Sn5. The XRD peak list is theoretical, not measured: it uses a PBE-relaxed structure and Cu Kα X-rays.
Kinematic intensities with the Lorentz-polarization factor, no thermal factor.

Cell and atoms:
abc: 4.613 4.613 12.879
angles: 90.00 90.00 90.00
Fractional positions:
Ac 0.000 0.500 0.218
Ac 0.500 0.000 0.782
Zn 0.000 0.000 0.000
Zn 0.000 0.500 0.888
Zn 0.500 0.000 0.112
Sn 0.000 0.000 0.500
Sn 0.000 0.500 0.680
Sn 0.500 0.000 0.320
Sn 0.500 0.500 0.000
Sn 0.500 0.500 0.500

Peak list (10 most intense, 2θ = 5–70°, in order of rising 2θ)
| d [Å] | I (rel.) |
| --- | --- |
| 3.262 | 11 |
| 3.142 | 24 |
| 2.910 | 100 |
| 2.640 | 30 |
| 2.306 | 45 |
| 1.946 | 15 |
| 1.737 | 18 |
| 1.631 | 16 |
| 1.487 | 12 |
| 1.423 | 24 |

=====

Entry 3:
Diffraction record for Cs2CaZn3F12. The XRD peak list is theoretical, not measured: it uses a PBE-relaxed structure and Cu Kα X-rays.
Kinematic intensities with the Lorentz-polarization factor, no thermal factor.

Cell and atoms:
abc: 7.540 7.540 7.540
angles: 60.58 60.58 60.58
Fractional positions:
Cs 0.117 0.117 0.117
Cs 0.883 0.883 0.883
Ca 0.500 0.500 0.500
Zn 0.000 0.500 0.500
Zn 0.500 0.000 0.500
Zn 0.500 0.500 0.000
F 0.137 0.591 0.591
F 0.197 0.197 0.584
F 0.197 0.584 0.197
F 0.409 0.409 0.863
F 0.409 0.863 0.409
F 0.416 0.803 0.803
F 0.584 0.197 0.197
F 0.591 0.137 0.591
F 0.591 0.591 0.137
F 0.803 0.416 0.803
F 0.803 0.803 0.416
F 0.863 0.409 0.409

Peak list (10 most intense, 2θ = 5–70°, in order of rising 2θ)
| d [Å] | I (rel.) |
| --- | --- |
| 3.803 | 14 |
| 3.770 | 30 |
| 3.237 | 100 |
| 3.211 | 34 |
| 3.100 | 21 |
| 2.067 | 17 |
| 1.901 | 30 |
| 1.885 | 19 |
| 1.398 | 13 |
| 1.392 | 14 |

=====

Entry 4:
Diffraction record for Tb4Te3S. The XRD peak list is theoretical, not measured: it uses a PBE-relaxed structure and Cu Kα X-rays.
Kinematic intensities with the Lorentz-polarization factor, no thermal factor.

Cell and atoms:
abc: 7.460 7.460 4.206
angles: 90.00 90.00 109.05
Fractional positions:
Tb 0.213 0.213 0.500
Tb 0.224 0.776 0.000
Tb 0.776 0.224 0.000
Tb 0.787 0.787 0.500
Te 0.000 0.500 0.500
Te 0.500 0.000 0.500
Te 0.500 0.500 0.000
S 0.000 0.000 0.000

Peak list (10 most intense, 2θ = 5–70°, in order of rising 2θ)
| d [Å] | I (rel.) |
| --- | --- |
| 3.038 | 48 |
| 3.017 | 100 |
| 2.765 | 15 |
| 2.165 | 16 |
| 2.141 | 66 |
| 2.103 | 19 |
| 1.763 | 15 |
| 1.729 | 18 |
| 1.489 | 11 |
| 1.351 | 12 |

=====

Entry 5:
Diffraction record for LiZr2Cd2. The XRD peak list is theoretical, not measured: it uses a PBE-relaxed structure and Cu Kα X-rays.
Kinematic intensities with the Lorentz-polarization factor, no thermal factor.

Cell and atoms:
abc: 7.855 7.855 7.855
angles: 149.88 149.88 43.12
Fractional positions:
Li 0.000 0.000 0.000
Zr 0.250 0.750 0.500
Zr 0.750 0.250 0.500
Cd 0.407 0.407 0.000
Cd 0.593 0.593 0.000

Peak list (10 most intense, 2θ = 5–70°, in order of rising 2θ)
| d [Å] | I (rel.) |
| --- | --- |
| 7.305 | 26 |
| 3.932 | 100 |
| 2.685 | 84 |
| 2.435 | 32 |
| 2.376 | 39 |
| 2.265 | 75 |
| 2.041 | 42 |
| 1.812 | 22 |
| 1.564 | 31 |
| 1.548 | 20 |

=====

Entry 6:
Diffraction record for Cs4Cl2O. The XRD peak list is theoretical, not measured: it uses a PBE-relaxed structure and Cu Kα X-rays.
Kinematic intensities with the Lorentz-polarization factor, no thermal factor.

Cell and atoms:
abc: 8.350 7.909 9.836
angles: 90.00 108.02 90.00
Fractional positions:
Cs 0.024 0.007 0.254
Cs 0.024 0.493 0.254
Cs 0.430 0.250 0.132
Cs 0.448 0.250 0.584
Cs 0.552 0.750 0.416
Cs 0.570 0.750 0.868
Cs 0.976 0.507 0.746
Cs 0.976 0.993 0.746
Cl 0.218 0.750 0.564
Cl 0.241 0.750 0.052
Cl 0.759 0.250 0.948
Cl 0.782 0.250 0.436
O 0.254 0.250 0.314
O 0.746 0.750 0.686

Peak list (10 most intense, 2θ = 5–70°, in order of rising 2θ)
| d [Å] | I (rel.) |
| --- | --- |
| 3.969 | 31 |
| 3.631 | 32 |
| 3.575 | 34 |
| 3.541 | 100 |
| 3.300 | 24 |
| 3.258 | 24 |
| 3.031 | 28 |
| 3.020 | 31 |
| 2.459 | 20 |
| 2.200 | 33 |

=====

Entry 7:
Diffraction record for Ba2DyCdO5. The XRD peak list is theoretical, not measured: it uses a PBE-relaxed structure and Cu Kα X-rays.
Kinematic intensities with the Lorentz-polarization factor, no thermal factor.

Cell and atoms:
abc: 7.777 7.777 11.362
angles: 90.00 90.00 152.95
Fractional positions:
Ba 0.113 0.887 0.500
Ba 0.131 0.869 0.093
Ba 0.869 0.131 0.593
Ba 0.887 0.113 0.000
Dy 0.216 0.784 0.806
Dy 0.784 0.216 0.306
Cd 0.483 0.517 0.278
Cd 0.517 0.483 0.778
O 0.068 0.932 0.859
O 0.281 0.719 0.439
O 0.300 0.700 0.179
O 0.364 0.636 0.806
O 0.499 0.501 0.586
O 0.501 0.499 0.086
O 0.636 0.364 0.306
O 0.700 0.300 0.679
O 0.719 0.281 0.939
O 0.932 0.068 0.359

Peak list (10 most intense, 2θ = 5–70°, in order of rising 2θ)
| d [Å] | I (rel.) |
| --- | --- |
| 3.384 | 71 |
| 3.147 | 100 |
| 3.002 | 62 |
| 2.949 | 72 |
| 2.855 | 33 |
| 2.840 | 33 |
| 2.585 | 85 |
| 2.461 | 39 |
| 1.800 | 36 |
| 1.765 | 37 |

=====

Entry 8:
Diffraction record for BaHoAgSe3. The XRD peak list is theoretical, not measured: it uses a PBE-relaxed structure and Cu Kα X-rays.
Kinematic intensities with the Lorentz-polarization factor, no thermal factor.

Cell and atoms:
abc: 8.691 4.262 9.575
angles: 90.00 106.11 90.00
Fractional positions:
Ba 0.207 0.250 0.250
Ba 0.793 0.750 0.750
Ho 0.322 0.750 0.841
Ho 0.678 0.250 0.159
Ag 0.088 0.250 0.591
Ag 0.912 0.750 0.409
Se 0.106 0.250 0.873
Se 0.253 0.750 0.530
Se 0.450 0.750 0.153
Se 0.550 0.250 0.847
Se 0.747 0.250 0.470
Se 0.894 0.750 0.127

Peak list (10 most intense, 2θ = 5–70°, in order of rising 2θ)
| d [Å] | I (rel.) |
| --- | --- |
| 7.267 | 70 |
| 3.066 | 37 |
| 3.018 | 78 |
| 2.982 | 100 |
| 2.650 | 30 |
| 2.548 | 50 |
| 2.395 | 25 |
| 2.131 | 45 |
| 2.026 | 30 |
| 1.908 | 28 |